Diffraction record for Cs6SeSI2. The X-ray powder pattern is calculated, not measured: it uses a cell relaxed with PBE and Cu Kα (weighted mean of Kα1 and Kα2).
Lines closer than 0.1° are merged.

Structure:
```
Cs6SeSI2
1.0
8.112 -4.714 0.000
8.112 4.714 0.000
-5.439 0.000 7.769
Cs Se S I
6 1 1 2
Cartesian
3.323 2.384 5.258
-0.717 0.000 6.686
7.462 2.384 2.510
3.323 -2.384 5.258
11.502 0.000 1.083
7.462 -2.384 2.510
8.112 0.000 0.000
-2.720 0.000 3.884
2.584 0.000 2.154
8.201 0.000 5.615
```

Top 10 peaks for 2θ = 5–70°, sorted by position:
4.042 Å, I 53; 4.024 Å, I 55; 3.993 Å, I 41; 3.843 Å, I 100; 3.343 Å, I 86; 3.065 Å, I 19; 2.743 Å, I 22; 2.716 Å, I 32; 2.357 Å, I 26; 2.245 Å, I 33

Diffraction record for TmSc9In2. The X-ray powder pattern is calculated, not measured: it uses a cell relaxed with PBE and Cu Kα (weighted mean of Kα1 and Kα2).
Lines closer than 0.1° are merged.

Structure:
```
TmSc9In2
1.0
4.549 0.000 0.000
0.000 4.549 0.000
0.000 0.000 13.941
Tm Sc In
1 9 2
Cartesian
0.000 0.000 0.000
0.000 2.274 2.429
0.000 2.274 6.970
0.000 2.274 11.511
2.274 0.000 2.429
2.274 0.000 6.970
2.274 0.000 11.511
2.274 2.274 0.000
2.274 2.274 4.734
2.274 2.274 9.206
0.000 0.000 4.715
0.000 0.000 9.226
```

Top 10 peaks for 2θ = 5–70°, sorted by position:
4.647 Å, I 11; 4.549 Å, I 21; 3.251 Å, I 19; 2.645 Å, I 100; 2.323 Å, I 17; 2.274 Å, I 32; 1.625 Å, I 21; 1.608 Å, I 10; 1.396 Å, I 12; 1.374 Å, I 23

Diffraction record for Ho6Si3C. The X-ray powder pattern is calculated, not measured: it uses a cell relaxed with PBE and Cu Kα (weighted mean of Kα1 and Kα2).
Lines closer than 0.1° are merged.

Structure:
```
Ho6Si3C
1.0
6.286 0.000 0.000
0.000 7.618 0.000
-6.145 0.000 9.828
Ho Si C
12 6 2
Cartesian
-0.816 0.381 2.298
-3.888 3.428 7.212
0.905 5.364 0.618
-2.168 6.063 5.532
2.037 1.259 0.609
-1.036 2.550 5.523
1.177 5.068 4.305
-1.896 6.359 9.219
2.309 1.555 4.296
-0.764 2.254 9.210
4.029 4.190 2.616
0.957 7.237 7.530
-2.637 0.809 7.341
0.435 3.000 2.427
0.070 0.000 4.914
3.143 3.809 0.000
-0.294 4.618 7.401
2.778 6.809 2.487
0.000 0.000 0.000
-3.073 3.809 4.914
```

Top 10 peaks for 2θ = 5–70°, sorted by position:
3.552 Å, I 44; 3.085 Å, I 57; 3.010 Å, I 89; 2.922 Å, I 86; 2.905 Å, I 100; 2.888 Å, I 58; 2.776 Å, I 66; 2.726 Å, I 79; 2.703 Å, I 82; 2.355 Å, I 44

Diffraction record for Ho4AlGa12. The X-ray powder pattern is calculated, not measured: it uses a cell relaxed with PBE and Cu Kα (weighted mean of Kα1 and Kα2).
Lines closer than 0.1° are merged.

Structure:
```
Ho4AlGa12
1.0
-4.351 4.351 4.351
4.351 -4.351 4.351
4.351 4.351 -4.351
Ho Al Ga
4 1 12
Cartesian
2.175 2.175 -2.175
2.175 -2.175 2.175
-2.175 2.175 2.175
2.175 2.175 2.175
0.000 0.000 0.000
2.650 0.000 0.000
6.052 0.000 0.000
4.351 2.175 0.000
4.351 0.000 2.175
0.000 2.650 0.000
0.000 0.000 2.650
2.175 4.351 0.000
2.175 0.000 4.351
0.000 6.052 0.000
0.000 0.000 6.052
0.000 4.351 2.175
0.000 2.175 4.351
```

Top 10 peaks for 2θ = 5–70°, sorted by position:
4.351 Å, I 13; 3.076 Å, I 26; 2.512 Å, I 100; 2.175 Å, I 52; 2.051 Å, I 6; 1.946 Å, I 12; 1.776 Å, I 6; 1.538 Å, I 29; 1.450 Å, I 8; 1.376 Å, I 9

Diffraction record for CdCu5. The X-ray powder pattern is calculated, not measured: it uses a cell relaxed with PBE and Cu Kα (weighted mean of Kα1 and Kα2).
Lines closer than 0.1° are merged.

Structure:
```
CdCu5
1.0
4.217 -1.840 0.000
4.217 1.840 0.000
-1.676 0.000 5.185
Cd Cu
1 5
Cartesian
0.000 0.000 0.000
-0.838 0.000 2.593
1.654 0.000 3.377
2.508 0.000 0.963
4.250 0.000 4.222
5.105 0.000 1.809
```

Top 10 peaks for 2θ = 5–70°, sorted by position:
3.787 Å, I 2; 3.346 Å, I 4; 2.991 Å, I 5; 2.786 Å, I 4; 2.190 Å, I 100; 2.164 Å, I 98; 1.925 Å, I 32; 1.893 Å, I 32; 1.840 Å, I 29; 1.362 Å, I 9

Diffraction record for Ca2Np3N8. The X-ray powder pattern is calculated, not measured: it uses a cell relaxed with PBE and Cu Kα (weighted mean of Kα1 and Kα2).
Lines closer than 0.1° are merged.

Structure:
```
Ca2Np3N8
1.0
6.853 0.000 0.000
-3.426 5.935 0.000
0.000 0.000 10.149
Ca Np N
4 6 16
Cartesian
0.000 3.957 0.000
0.000 3.957 3.595
3.426 1.978 5.074
3.426 1.978 8.669
0.000 1.973 7.226
-1.718 4.948 7.226
1.709 0.987 2.152
1.718 4.948 7.226
5.144 0.987 2.152
3.426 3.962 2.152
0.000 0.000 3.100
0.000 0.000 8.174
-1.405 3.145 8.285
0.000 1.856 1.328
-1.819 5.007 1.328
1.607 0.928 6.403
0.000 3.957 6.169
1.405 3.145 8.285
0.000 5.579 8.285
3.426 0.356 3.211
2.021 2.790 3.211
3.426 1.978 1.095
1.819 5.007 1.328
5.246 0.928 6.403
3.426 4.079 6.403
4.832 2.790 3.211
```

Top 10 peaks for 2θ = 5–70°, sorted by position:
5.123 Å, I 30; 5.074 Å, I 76; 2.967 Å, I 18; 2.847 Å, I 100; 2.562 Å, I 19; 2.231 Å, I 37; 1.713 Å, I 19; 1.675 Å, I 22; 1.623 Å, I 21; 1.468 Å, I 16